For LiZn4Sb, the PBE geometry in Alexandria gives the theoretical powder diffraction line list in this record (copper Kα).
Lines closer than 0.1° are merged.

The 10 most intense peaks (5 to 70 degrees two-theta), by intensity:
Position (°2θ)  I (rel.)
39.62  100
41.46  46
64.14  31
20.39  28
23.59  23
33.60  21
54.39  8
60.08  8
52.90  7
48.25  6

Crystal structure
Lattice parameters (Å, degrees): 5.3347 5.3347 5.3347 60.00 60.00 60.00
Fractional positions:
Li 0.0000 0.0000 0.0000
Zn 0.3743 0.3743 0.3743
Zn 0.3743 0.3743 0.8770
Zn 0.3743 0.8770 0.3743
Zn 0.8770 0.3743 0.3743
Sb 0.7500 0.7500 0.7500